The following is a theoretical X-ray powder pattern of CsCoAuF6. It was derived from a cell relaxed with PBE+U, using Cu Kα X-rays.

Structure:
Lattice parameters (Å, degrees): 7.643 7.643 7.643 120.27 116.53 92.82
Sites, in units of the cell vectors:
Cs  0.351  0.101  0.250
Cs  0.649  0.899  0.750
Co  0.000  0.000  0.500
Co  0.000  0.500  0.000
Au  0.000  0.500  0.500
Au  0.500  0.500  0.000
F  0.047  0.797  0.250
F  0.050  0.398  0.207
F  0.050  0.843  0.652
F  0.309  0.157  0.707
F  0.309  0.602  0.152
F  0.334  0.584  0.750
F  0.666  0.416  0.250
F  0.691  0.398  0.848
F  0.691  0.843  0.293
F  0.950  0.157  0.348
F  0.950  0.602  0.793
F  0.953  0.203  0.750

The 10 most intense peaks (10 to 80 degrees two-theta), low angle first:
two_theta, d (Å), Rel. int.
14.35, 6.170, 29
16.82, 5.270, 23
23.35, 3.809, 36
26.46, 3.368, 100
27.27, 3.270, 25
27.71, 3.219, 19
27.95, 3.193, 57
28.94, 3.085, 38
43.02, 2.102, 23
47.69, 1.907, 39